Diffraction record for Pb3I. The powder X-ray diffraction pattern is simulated, not measured: it uses DFT lattice parameters and positions (PBE) and Cu Kα, 1.54184 Å.

```
Pb3I
1.0
3.814 0.000 0.000
0.000 6.693 0.000
0.000 0.000 5.563
Pb I
3 1
Direct
0.000 0.000 0.000
0.000 0.500 0.015
0.500 0.500 0.518
0.500 0.000 0.501
```

Largest 10 diffraction maxima, sorted by position, 2θ from 5° to 70°:
- 26.64 deg, I 59
- 28.38 deg, I 100
- 32.18 deg, I 36
- 39.31 deg, I 85
- 42.25 deg, I 35
- 55.07 deg, I 16
- 55.46 deg, I 16
- 62.20 deg, I 22
- 62.92 deg, I 22
- 65.59 deg, I 19

Diffraction record for PdPb2I6. The powder X-ray diffraction pattern is simulated, not measured: it uses DFT lattice parameters and positions (PBE) and Cu Kα, 1.54184 Å.

```
PdPb2I6
1.0
7.368 0.000 0.000
0.000 7.368 0.000
0.000 0.000 13.779
Pd Pb I
2 4 12
Direct
0.000 0.000 0.000
0.500 0.500 0.500
0.000 0.000 0.337
0.000 0.000 0.663
0.500 0.500 0.163
0.500 0.500 0.837
0.187 0.187 0.147
0.187 0.187 0.853
0.220 0.220 0.500
0.280 0.720 0.000
0.313 0.687 0.353
0.313 0.687 0.647
0.687 0.313 0.353
0.687 0.313 0.647
0.720 0.280 0.000
0.780 0.780 0.500
0.813 0.813 0.147
0.813 0.813 0.853
```

Largest 10 diffraction maxima, sorted by position, 2θ from 5° to 70°:
- 17.02 deg, I 99
- 22.82 deg, I 22
- 25.86 deg, I 90
- 27.06 deg, I 33
- 33.47 deg, I 100
- 34.43 deg, I 47
- 39.23 deg, I 24
- 41.71 deg, I 68
- 43.04 deg, I 18
- 53.17 deg, I 26

Diffraction record for Pm3PbI3. The powder X-ray diffraction pattern is simulated, not measured: it uses DFT lattice parameters and positions (PBE) and Cu Kα, 1.54184 Å.

```
Pm3PbI3
1.0
-6.361 6.361 6.361
6.361 -6.361 6.361
6.361 6.361 -6.361
Pm Pb I
12 4 12
Direct
0.008 0.017 0.258
0.008 0.492 0.750
0.017 0.258 0.008
0.242 0.258 0.750
0.242 0.483 0.492
0.258 0.008 0.017
0.258 0.750 0.242
0.483 0.492 0.242
0.492 0.242 0.483
0.492 0.750 0.008
0.750 0.008 0.492
0.750 0.242 0.258
0.000 0.250 0.500
0.250 0.250 0.250
0.250 0.500 0.000
0.500 0.000 0.250
0.250 0.755 0.745
0.250 0.995 0.505
0.505 0.250 0.995
0.505 0.755 0.511
0.511 0.505 0.755
0.745 0.250 0.755
0.745 0.995 0.989
0.755 0.511 0.505
0.755 0.745 0.250
0.989 0.745 0.995
0.995 0.505 0.250
0.995 0.989 0.745
```

Largest 10 diffraction maxima, sorted by position, 2θ from 5° to 70°:
- 9.83 deg, I 29
- 22.09 deg, I 8
- 24.23 deg, I 4
- 28.05 deg, I 100
- 29.79 deg, I 6
- 35.99 deg, I 8
- 40.09 deg, I 76
- 49.65 deg, I 27
- 57.99 deg, I 12
- 65.64 deg, I 34

Diffraction record for Pr2PbI. The powder X-ray diffraction pattern is simulated, not measured: it uses DFT lattice parameters and positions (PBE) and Cu Kα, 1.54184 Å.

```
Pr2PbI
1.0
4.503 0.000 0.000
-2.251 3.899 0.000
0.000 0.000 8.208
Pr Pb I
2 1 1
Direct
0.333 0.667 0.218
0.667 0.333 0.782
0.000 0.000 0.000
0.000 0.000 0.500
```

Largest 10 diffraction maxima, sorted by position, 2θ from 5° to 70°:
- 10.78 deg, I 15
- 22.80 deg, I 18
- 25.29 deg, I 48
- 31.65 deg, I 100
- 40.05 deg, I 45
- 40.27 deg, I 16
- 50.24 deg, I 11
- 51.92 deg, I 25
- 61.10 deg, I 19
- 67.53 deg, I 23

Diffraction record for Rb2PbI4. The powder X-ray diffraction pattern is simulated, not measured: it uses DFT lattice parameters and positions (PBE) and Cu Kα, 1.54184 Å.

```
Rb2PbI4
1.0
9.232 0.000 0.000
0.000 14.928 0.000
0.000 0.000 5.032
Rb Pb I
4 2 8
Direct
0.089 0.180 0.000
0.411 0.680 0.000
0.589 0.320 0.000
0.911 0.820 0.000
0.000 0.500 0.500
0.500 0.000 0.500
0.127 0.702 0.500
0.223 0.451 0.000
0.277 0.951 0.000
0.373 0.202 0.500
0.627 0.798 0.500
0.723 0.049 0.000
0.777 0.549 0.000
0.873 0.298 0.500
```

Largest 10 diffraction maxima, sorted by position, 2θ from 5° to 70°:
- 11.27 deg, I 100
- 20.97 deg, I 73
- 25.75 deg, I 70
- 26.20 deg, I 36
- 26.88 deg, I 86
- 28.84 deg, I 88
- 35.70 deg, I 69
- 36.31 deg, I 65
- 38.78 deg, I 38
- 40.93 deg, I 35

Diffraction record for Rb3Pb2I7. The powder X-ray diffraction pattern is simulated, not measured: it uses DFT lattice parameters and positions (PBE) and Cu Kα, 1.54184 Å.

```
Rb3Pb2I7
1.0
6.331 0.000 0.000
0.063 6.404 0.000
3.122 2.732 15.498
Rb Pb I
3 2 7
Direct
0.000 0.000 0.000
0.177 0.066 0.644
0.823 0.934 0.356
0.389 0.421 0.210
0.611 0.579 0.790
0.109 0.523 0.795
0.292 0.259 0.412
0.389 0.936 0.191
0.500 0.500 0.000
0.611 0.064 0.809
0.708 0.741 0.588
0.891 0.477 0.205
```

Largest 10 diffraction maxima, sorted by position, 2θ from 5° to 70°:
- 5.70 deg, I 34
- 11.42 deg, I 74
- 14.25 deg, I 87
- 27.88 deg, I 65
- 28.19 deg, I 100
- 28.80 deg, I 76
- 39.87 deg, I 45
- 40.63 deg, I 47
- 40.81 deg, I 48
- 41.14 deg, I 36